1.
Starting from a cell relaxed with PBE, the X-ray powder pattern of SrI2O2 was computed for a wavelength of 1.5418 Å.

Cell and atoms:
```
20
Lattice="4.8678 0.0000 0.0000 0.0000 11.5653 0.0000 -0.1995 0.0000 12.0621" Properties=species:S:1:pos:R:3 pbc="T T T"
Sr -0.0441 1.8142 4.1227
Sr -0.1438 3.9684 10.1538
Sr 4.8121 7.5969 1.9083
Sr 4.7124 9.7511 7.9394
I -0.1438 0.4637 10.7254
I -0.0440 5.3190 4.6943
I -0.0570 1.5973 7.6202
I 0.0427 4.1854 1.5892
I 4.6256 7.3799 10.4729
I 4.7253 9.9681 4.4419
I 4.7123 6.2463 7.3678
I 4.8121 11.1017 1.3367
O 2.3780 8.0263 1.3510
O 2.2783 9.3217 7.3820
O 2.3783 7.3076 2.5112
O 2.2786 10.0404 8.5422
O 2.3897 1.5249 3.5199
O 2.2900 4.2578 9.5509
O 2.3900 2.2436 4.6801
O 2.2903 3.5390 10.7111
```

Top 10 peaks for 2θ = 10–80°, in order of rising 2θ:
- 2θ = 18.23°, intensity 1000, hkl 1 0 0
- 2θ = 24.24°, intensity 469, hkl 0 3 1
- 2θ = 29.62°, intensity 323, hkl 0 0 4
- 2θ = 30.42°, intensity 195, hkl 1 3 -1
- 2θ = 30.57°, intensity 187, hkl 1 3 1
- 2θ = 32.17°, intensity 291, hkl 0 3 3
- 2θ = 34.74°, intensity 187, hkl 1 0 -4
- 2θ = 35.27°, intensity 175, hkl 1 0 4
- 2θ = 36.93°, intensity 275, hkl 2 0 0
- 2θ = 37.02°, intensity 159, hkl 1 3 -3


2.
Starting from a cell relaxed with PBE, the X-ray powder pattern of Sr2IO6 was computed for a wavelength of 1.5418 Å.

Cell and atoms:
```
18
Lattice="5.7159 0.0000 0.0000 0.0000 5.7159 0.0000 0.0000 0.0000 8.6023" Properties=species:S:1:pos:R:3 pbc="T T T"
Sr 0.0000 2.8580 2.1506
Sr 0.0000 2.8580 6.4517
Sr 2.8580 0.0000 2.1506
Sr 2.8580 0.0000 6.4517
I 0.0000 0.0000 0.0000
I 2.8580 2.8580 4.3012
O 0.0000 0.0000 1.9007
O 0.0000 0.0000 6.7016
O 0.8806 1.6719 0.0000
O 1.1861 1.9774 4.3012
O 1.6719 4.8353 0.0000
O 1.9774 4.5298 4.3012
O 2.8580 2.8580 2.4005
O 2.8580 2.8580 6.2019
O 3.7386 1.1861 4.3012
O 4.0441 0.8806 0.0000
O 4.5298 3.7386 4.3012
O 4.8353 4.0441 0.0000
```

Top 10 peaks for 2θ = 10–80°, in order of rising 2θ:
- 2θ = 18.64°, intensity 1000, hkl 1 0 1
- 2θ = 30.35°, intensity 976, hkl 1 1 2
- 2θ = 31.30°, intensity 580, hkl 2 0 0
- 2θ = 35.02°, intensity 156, hkl 1 0 3
- 2θ = 36.68°, intensity 242, hkl 2 1 1
- 2θ = 42.01°, intensity 223, hkl 0 0 4
- 2θ = 44.85°, intensity 301, hkl 2 2 0
- 2θ = 53.31°, intensity 242, hkl 2 0 4
- 2θ = 55.11°, intensity 456, hkl 3 1 2
- 2θ = 63.13°, intensity 198, hkl 2 2 4


3.
Starting from a cell relaxed with PBE, the X-ray powder pattern of Sr2IO4 was computed for a wavelength of 1.5418 Å.

Cell and atoms:
```
14
Lattice="6.0462 0.0000 0.0000 0.0000 6.0462 0.0000 0.0000 0.0000 6.8483" Properties=species:S:1:pos:R:3 pbc="T T T"
Sr 0.0000 3.0231 0.0000
Sr 0.0000 3.0231 3.4241
Sr 3.0231 0.0000 0.0000
Sr 3.0231 0.0000 3.4241
I 0.0000 0.0000 1.8220
I 3.0231 3.0231 5.2462
O 1.4339 1.4339 1.5697
O 1.4339 4.6123 1.5697
O 1.5892 1.5892 4.9938
O 1.5892 4.4571 4.9938
O 4.4571 1.5892 4.9938
O 4.4571 4.4571 4.9938
O 4.6123 1.4339 1.5697
O 4.6123 4.6123 1.5697
```

Top 10 peaks for 2θ = 10–80°, in order of rising 2θ:
- 2θ = 19.59°, intensity 741, hkl 1 0 1
- 2θ = 29.55°, intensity 421, hkl 2 0 0
- 2θ = 33.53°, intensity 1000, hkl 1 1 2
- 2θ = 35.70°, intensity 268, hkl 2 1 1
- 2θ = 42.29°, intensity 475, hkl 2 2 0
- 2θ = 55.01°, intensity 471, hkl 3 1 2
- 2θ = 61.34°, intensity 142, hkl 4 0 0
- 2θ = 62.33°, intensity 120, hkl 2 0 4
- 2θ = 69.54°, intensity 132, hkl 4 2 0
- 2θ = 70.47°, intensity 160, hkl 2 2 4


Repeat the second record exactly.
Starting from a cell relaxed with PBE, the X-ray powder pattern of Sr2IO6 was computed for a wavelength of 1.5418 Å.

Cell and atoms:
```
18
Lattice="5.7159 0.0000 0.0000 0.0000 5.7159 0.0000 0.0000 0.0000 8.6023" Properties=species:S:1:pos:R:3 pbc="T T T"
Sr 0.0000 2.8580 2.1506
Sr 0.0000 2.8580 6.4517
Sr 2.8580 0.0000 2.1506
Sr 2.8580 0.0000 6.4517
I 0.0000 0.0000 0.0000
I 2.8580 2.8580 4.3012
O 0.0000 0.0000 1.9007
O 0.0000 0.0000 6.7016
O 0.8806 1.6719 0.0000
O 1.1861 1.9774 4.3012
O 1.6719 4.8353 0.0000
O 1.9774 4.5298 4.3012
O 2.8580 2.8580 2.4005
O 2.8580 2.8580 6.2019
O 3.7386 1.1861 4.3012
O 4.0441 0.8806 0.0000
O 4.5298 3.7386 4.3012
O 4.8353 4.0441 0.0000
```

Top 10 peaks for 2θ = 10–80°, in order of rising 2θ:
- 2θ = 18.64°, intensity 1000, hkl 1 0 1
- 2θ = 30.35°, intensity 976, hkl 1 1 2
- 2θ = 31.30°, intensity 580, hkl 2 0 0
- 2θ = 35.02°, intensity 156, hkl 1 0 3
- 2θ = 36.68°, intensity 242, hkl 2 1 1
- 2θ = 42.01°, intensity 223, hkl 0 0 4
- 2θ = 44.85°, intensity 301, hkl 2 2 0
- 2θ = 53.31°, intensity 242, hkl 2 0 4
- 2θ = 55.11°, intensity 456, hkl 3 1 2
- 2θ = 63.13°, intensity 198, hkl 2 2 4